# Tb12Er7Zr
Simulated powder diffractogram, Cu Kα X-rays. Input: a crystal structure in Alexandria, relaxed with GGA-PBE.

Structure:
```
data_Tb12Er7Zr
_chemical_formula_sum 'Tb36 Er21 Zr3'
_symmetry_space_group_name_H-M 'R -3 m'
_symmetry_Int_Tables_number 166
_symmetry_space_group_name_Hall '-R 3 2"'
_cell_length_a 13.1433
_cell_length_b 13.1433
_cell_length_c 12.5540
_cell_angle_alpha 90.00
_cell_angle_beta 90.00
_cell_angle_gamma 120.00
loop_
_atom_site_label
_atom_site_type_symbol
_atom_site_fract_x
_atom_site_fract_y
_atom_site_fract_z
Tb1 Tb 0.0000 0.2609 0.0000
Tb2 Tb 0.0884 0.1767 0.7655
Er1 Er 0.0000 0.0000 0.0000
Er2 Er 0.0496 0.5248 0.1198
Zr1 Zr 0.0000 0.0000 0.5000
```

Peak list (6 most intense, 2θ = 10–90°, low angle first)
| 2θ/deg | I_rel |
| --- | --- |
| 29.52 | 512 |
| 31.73 | 644 |
| 31.84 | 787 |
| 32.26 | 1000 |
| 34.61 | 339 |
| 57.33 | 266 |

# ErTc3
Simulated powder diffractogram, Cu Kα X-rays. Input: a crystal structure in Alexandria, relaxed with GGA-PBE.

Structure:
```
data_ErTc3
_chemical_formula_sum 'Er8 Tc24'
_symmetry_space_group_name_H-M 'F m m m'
_symmetry_Int_Tables_number 69
_symmetry_space_group_name_Hall '-F 2 2'
_cell_length_a 5.296
_cell_length_b 8.912
_cell_length_c 11.608
_cell_angle_alpha 90.00
_cell_angle_beta 90.00
_cell_angle_gamma 90.00
loop_
_atom_site_label
_atom_site_type_symbol
_atom_site_fract_x
_atom_site_fract_y
_atom_site_fract_z
Er1 Er 0.000 0.000 0.136
Tc1 Tc 0.000 0.000 0.392
Tc2 Tc 0.250 0.250 0.000
Tc3 Tc 0.250 0.250 0.250
```

Peak list (6 most intense, 2θ = 10–90°, low angle first)
| 2θ/deg | I_rel |
| --- | --- |
| 36.97 | 1000 |
| 39.59 | 879 |
| 40.49 | 413 |
| 46.42 | 521 |
| 63.26 | 407 |
| 83.06 | 188 |

# ErTiTc4
Simulated powder diffractogram, Cu Kα X-rays. Input: a crystal structure in Alexandria, relaxed with GGA-PBE.

Structure:
```
data_ErTiTc4
_chemical_formula_sum 'Er4 Ti4 Tc16'
_symmetry_space_group_name_H-M 'F -4 3 m'
_symmetry_Int_Tables_number 216
_symmetry_space_group_name_Hall 'F -4 2 3'
_cell_length_a 7.441
_cell_length_b 7.441
_cell_length_c 7.441
_cell_angle_alpha 90.00
_cell_angle_beta 90.00
_cell_angle_gamma 90.00
loop_
_atom_site_label
_atom_site_type_symbol
_atom_site_fract_x
_atom_site_fract_y
_atom_site_fract_z
Er1 Er 0.000 0.000 0.000
Ti1 Ti 0.250 0.250 0.750
Tc1 Tc 0.125 0.125 0.375
```

Peak list (6 most intense, 2θ = 10–90°, low angle first)
| 2θ/deg | I_rel |
| --- | --- |
| 34.08 | 274 |
| 40.19 | 1000 |
| 42.06 | 394 |
| 65.14 | 313 |
| 71.75 | 251 |
| 86.82 | 144 |

What did the first record say?
# Tb12Er7Zr
Simulated powder diffractogram, Cu Kα X-rays. Input: a crystal structure in Alexandria, relaxed with GGA-PBE.

Structure:
```
data_Tb12Er7Zr
_chemical_formula_sum 'Tb36 Er21 Zr3'
_symmetry_space_group_name_H-M 'R -3 m'
_symmetry_Int_Tables_number 166
_symmetry_space_group_name_Hall '-R 3 2"'
_cell_length_a 13.1433
_cell_length_b 13.1433
_cell_length_c 12.5540
_cell_angle_alpha 90.00
_cell_angle_beta 90.00
_cell_angle_gamma 120.00
loop_
_atom_site_label
_atom_site_type_symbol
_atom_site_fract_x
_atom_site_fract_y
_atom_site_fract_z
Tb1 Tb 0.0000 0.2609 0.0000
Tb2 Tb 0.0884 0.1767 0.7655
Er1 Er 0.0000 0.0000 0.0000
Er2 Er 0.0496 0.5248 0.1198
Zr1 Zr 0.0000 0.0000 0.5000
```

Peak list (6 most intense, 2θ = 10–90°, low angle first)
| 2θ/deg | I_rel |
| --- | --- |
| 29.52 | 512 |
| 31.73 | 644 |
| 31.84 | 787 |
| 32.26 | 1000 |
| 34.61 | 339 |
| 57.33 | 266 |